(1)
Theoretical XRD peak list of Na10B17C3 for copper Kα, from a DFT-relaxed cell (PBE, Alexandria).

Lattice parameters (Å, degrees): 11.882 11.882 10.214 105.61 105.61 13.65
Element x y z (fractional)
Na: 0.000 0.000 0.000
Na: 0.099 0.099 0.699
Na: 0.201 0.201 0.402
Na: 0.301 0.301 0.104
Na: 0.399 0.399 0.802
Na: 0.500 0.500 0.499
Na: 0.601 0.601 0.202
Na: 0.701 0.701 0.903
Na: 0.800 0.800 0.601
Na: 0.900 0.900 0.304
B: 0.012 0.012 0.277
B: 0.078 0.078 0.407
B: 0.120 0.120 0.992
B: 0.184 0.184 0.119
B: 0.220 0.220 0.689
B: 0.282 0.282 0.813
B: 0.383 0.383 0.516
B: 0.424 0.424 0.101
B: 0.514 0.514 0.779
B: 0.577 0.577 0.905
B: 0.616 0.616 0.483
B: 0.679 0.679 0.609
B: 0.725 0.725 0.201
B: 0.792 0.792 0.334
B: 0.822 0.822 0.896
B: 0.885 0.885 0.022
B: 0.973 0.973 0.696
C: 0.322 0.322 0.395
C: 0.482 0.482 0.219
C: 0.914 0.914 0.578

Peak list (10 most intense, 2θ from 10° to 90°, by angle)
33.57 deg, d 2.670, rel. 14.2
35.97 deg, d 2.497, rel. 16.7
39.56 deg, d 2.278, rel. 24.8
39.68 deg, d 2.271, rel. 24.5
41.57 deg, d 2.172, rel. 37.3
41.72 deg, d 2.165, rel. 100.0
61.59 deg, d 1.506, rel. 17.8
76.94 deg, d 1.239, rel. 8.4
77.18 deg, d 1.236, rel. 8.4
79.95 deg, d 1.200, rel. 9.4


(2)
Theoretical XRD peak list of Na10B13C7 for copper Kα, from a DFT-relaxed cell (PBE, Alexandria).

Lattice parameters (Å, degrees): 2.872 2.872 42.588 90.00 90.00 120.00
Element x y z (fractional)
Na: 0.000 0.000 0.049
Na: 0.000 0.000 0.148
Na: 0.000 0.000 0.247
Na: 0.000 0.000 0.349
Na: 0.000 0.000 0.449
Na: 0.000 0.000 0.551
Na: 0.000 0.000 0.651
Na: 0.000 0.000 0.753
Na: 0.000 0.000 0.852
Na: 0.000 0.000 0.951
B: 0.333 0.667 0.000
B: 0.333 0.667 0.197
B: 0.333 0.667 0.298
B: 0.333 0.667 0.399
B: 0.333 0.667 0.500
B: 0.333 0.667 0.601
B: 0.333 0.667 0.702
B: 0.333 0.667 0.803
B: 0.667 0.333 0.099
B: 0.667 0.333 0.298
B: 0.667 0.333 0.500
B: 0.667 0.333 0.702
B: 0.667 0.333 0.901
C: 0.333 0.667 0.099
C: 0.333 0.667 0.901
C: 0.667 0.333 0.000
C: 0.667 0.333 0.197
C: 0.667 0.333 0.399
C: 0.667 0.333 0.601
C: 0.667 0.333 0.803

Peak list (10 most intense, 2θ from 10° to 90°, by angle)
36.11 deg, d 2.488, rel. 18.2
42.07 deg, d 2.148, rel. 100.0
42.45 deg, d 2.129, rel. 24.6
56.92 deg, d 1.618, rel. 9.7
64.93 deg, d 1.436, rel. 17.5
69.01 deg, d 1.361, rel. 1.5
76.61 deg, d 1.244, rel. 1.7
77.40 deg, d 1.233, rel. 11.5
80.44 deg, d 1.194, rel. 11.1
80.70 deg, d 1.191, rel. 16.6


(3)
Theoretical XRD peak list of Na5B8C2 for copper Kα, from a DFT-relaxed cell (PBE, Alexandria).

Lattice parameters (Å, degrees): 5.128 7.718 9.135 75.90 73.79 70.92
Element x y z (fractional)
Na: 0.000 0.000 0.000
Na: 0.000 0.500 0.500
Na: 0.198 0.599 0.003
Na: 0.200 0.099 0.503
Na: 0.401 0.699 0.500
Na: 0.402 0.199 0.999
Na: 0.600 0.798 0.005
Na: 0.601 0.299 0.501
Na: 0.801 0.400 0.001
Na: 0.803 0.900 0.499
B: 0.024 0.849 0.751
B: 0.040 0.348 0.251
B: 0.162 0.245 0.752
B: 0.170 0.764 0.251
B: 0.221 0.460 0.751
B: 0.357 0.848 0.751
B: 0.394 0.330 0.251
B: 0.425 0.552 0.251
B: 0.467 0.043 0.751
B: 0.553 0.961 0.251
B: 0.558 0.453 0.752
B: 0.661 0.656 0.751
B: 0.774 0.545 0.250
B: 0.829 0.754 0.250
B: 0.832 0.239 0.752
B: 0.968 0.137 0.251
C: 0.236 0.954 0.252
C: 0.644 0.145 0.251
C: 0.770 0.043 0.751
C: 0.965 0.654 0.750

Peak list (10 most intense, 2θ from 10° to 90°, by angle)
35.00 deg, d 2.564, rel. 20.6
35.31 deg, d 2.542, rel. 19.0
35.48 deg, d 2.530, rel. 17.9
40.92 deg, d 2.205, rel. 98.1
41.19 deg, d 2.191, rel. 98.8
41.35 deg, d 2.183, rel. 100.0
41.79 deg, d 2.162, rel. 73.4
62.86 deg, d 1.478, rel. 17.5
63.20 deg, d 1.471, rel. 17.3
78.67 deg, d 1.216, rel. 16.8


(4)
Theoretical XRD peak list of Na10B13C7 for copper Kα, from a DFT-relaxed cell (PBE, Alexandria).

Lattice parameters (Å, degrees): 11.497 11.497 9.890 107.43 107.43 14.19
Element x y z (fractional)
Na: 0.000 0.000 0.000
Na: 0.099 0.099 0.701
Na: 0.199 0.199 0.399
Na: 0.299 0.299 0.100
Na: 0.400 0.400 0.801
Na: 0.500 0.500 0.499
Na: 0.598 0.598 0.201
Na: 0.700 0.700 0.899
Na: 0.800 0.800 0.600
Na: 0.899 0.899 0.303
B: 0.010 0.010 0.273
B: 0.080 0.080 0.412
B: 0.180 0.180 0.112
B: 0.213 0.213 0.678
B: 0.283 0.283 0.816
B: 0.317 0.317 0.385
B: 0.389 0.389 0.529
B: 0.416 0.416 0.083
B: 0.583 0.583 0.918
B: 0.619 0.619 0.490
B: 0.777 0.777 0.305
B: 0.823 0.823 0.895
B: 0.986 0.986 0.724
C: 0.115 0.115 0.982
C: 0.480 0.480 0.212
C: 0.518 0.518 0.788
C: 0.682 0.682 0.617
C: 0.712 0.712 0.177
C: 0.885 0.885 0.020
C: 0.921 0.921 0.592

Peak list (10 most intense, 2θ from 10° to 90°, by angle)
35.50 deg, d 2.529, rel. 10.0
36.27 deg, d 2.477, rel. 17.7
41.55 deg, d 2.174, rel. 50.9
42.22 deg, d 2.140, rel. 100.0
42.50 deg, d 2.127, rel. 38.1
57.08 deg, d 1.614, rel. 9.8
64.25 deg, d 1.450, rel. 17.4
77.58 deg, d 1.231, rel. 12.5
80.04 deg, d 1.199, rel. 8.5
80.83 deg, d 1.189, rel. 10.7


(5)
Theoretical XRD peak list of Na10B17C3 for copper Kα, from a DFT-relaxed cell (PBE, Alexandria).

Lattice parameters (Å, degrees): 7.887 7.887 9.152 108.00 108.00 37.63
Element x y z (fractional)
Na: 0.050 0.050 0.251
Na: 0.149 0.150 0.748
Na: 0.253 0.248 0.251
Na: 0.353 0.347 0.752
Na: 0.447 0.451 0.248
Na: 0.549 0.553 0.752
Na: 0.653 0.647 0.248
Na: 0.752 0.747 0.749
Na: 0.850 0.851 0.252
Na: 0.950 0.950 0.749
B: 0.041 0.354 0.499
B: 0.110 0.505 0.000
B: 0.155 0.845 0.500
B: 0.232 0.578 0.502
B: 0.338 0.662 0.000
B: 0.387 0.019 0.499
B: 0.422 0.768 0.498
B: 0.481 0.116 0.000
B: 0.495 0.890 0.000
B: 0.561 0.231 0.502
B: 0.646 0.959 0.501
B: 0.742 0.069 0.000
B: 0.769 0.439 0.498
B: 0.814 0.186 0.500
B: 0.884 0.519 0.000
B: 0.931 0.258 0.000
B: 0.981 0.613 0.501
C: 0.079 0.731 0.000
C: 0.269 0.921 0.000
C: 0.675 0.325 0.000

Peak list (10 most intense, 2θ from 10° to 90°, by angle)
34.84 deg, d 2.575, rel. 22.1
40.78 deg, d 2.213, rel. 100.0
41.17 deg, d 2.193, rel. 53.8
41.77 deg, d 2.163, rel. 37.2
55.48 deg, d 1.656, rel. 11.8
62.17 deg, d 1.493, rel. 9.2
63.04 deg, d 1.475, rel. 17.5
75.59 deg, d 1.258, rel. 12.4
77.31 deg, d 1.234, rel. 12.6
78.51 deg, d 1.218, rel. 17.0


(6)
Theoretical XRD peak list of Na5B8C2 for copper Kα, from a DFT-relaxed cell (PBE, Alexandria).

Lattice parameters (Å, degrees): 5.027 7.827 9.150 107.86 90.01 108.72
Element x y z (fractional)
Na: 0.000 0.000 0.000
Na: 0.095 0.198 0.496
Na: 0.196 0.400 0.999
Na: 0.301 0.599 0.494
Na: 0.401 0.800 0.998
Na: 0.497 0.001 0.498
Na: 0.597 0.201 0.998
Na: 0.700 0.400 0.496
Na: 0.801 0.601 0.997
Na: 0.900 0.799 0.497
B: 0.018 0.699 0.746
B: 0.086 0.494 0.745
B: 0.129 0.897 0.247
B: 0.146 0.685 0.247
B: 0.204 0.093 0.749
B: 0.292 0.905 0.749
B: 0.391 0.111 0.247
B: 0.442 0.518 0.746
B: 0.461 0.297 0.748
B: 0.532 0.703 0.247
B: 0.580 0.489 0.248
B: 0.624 0.881 0.748
B: 0.761 0.915 0.247
B: 0.811 0.308 0.747
B: 0.866 0.104 0.749
B: 0.987 0.300 0.248
C: 0.323 0.300 0.248
C: 0.695 0.699 0.746
C: 0.727 0.110 0.247
C: 0.918 0.490 0.248

Peak list (10 most intense, 2θ from 10° to 90°, by angle)
35.14 deg, d 2.554, rel. 21.5
41.03 deg, d 2.200, rel. 100.0
41.55 deg, d 2.174, rel. 53.0
41.74 deg, d 2.164, rel. 38.2
55.67 deg, d 1.651, rel. 11.6
62.66 deg, d 1.483, rel. 9.1
63.80 deg, d 1.459, rel. 17.1
75.71 deg, d 1.256, rel. 13.7
78.02 deg, d 1.225, rel. 12.2
79.18 deg, d 1.210, rel. 16.9